# TlCd2Ga9
Simulated powder X-ray diffraction pattern, Cu Kα X-rays. Input: the GGA-PBE geometry in Alexandria.

Crystal structure
```
data_TlCd2Ga9
_chemical_formula_sum 'Tl1 Cd2 Ga9'
_cell_length_a 5.5312
_cell_length_b 5.7470
_cell_length_c 8.8769
_cell_angle_alpha 102.49
_cell_angle_beta 92.84
_cell_angle_gamma 111.74
_space_group_name_H-M_alt 'P -1'
_space_group_IT_number 2
_space_group_name_Hall '-P 1'
loop_
_atom_site_label
_atom_site_type_symbol
_atom_site_fract_x
_atom_site_fract_y
_atom_site_fract_z
Tl1 Tl 0.0000 0.0000 0.0000
Cd1 Cd 0.0456 0.1895 0.3893
Ga1 Ga 0.0457 0.6408 0.2739
Ga2 Ga 0.3072 0.5940 0.0027
Ga3 Ga 0.4646 0.9244 0.7934
Ga4 Ga 0.4767 0.4424 0.6808
Ga5 Ga 0.5000 0.0000 0.5000
```

Main lines, in order of rising 2θ (10° ≤ 2θ ≤ 90°):
Position (°2θ)  I (rel.)  index
29.7  29  -1 1 2
31.3  28  0 0 3
31.8  41  1 -2 1
32.6  24  2 -1 0
33.6  72  0 2 -1
35.3  100  1 -1 3
37.6  66  1 1 -3
38.3  19  2 0 1
38.6  39  -2 1 2
39.3  24  2 -1 2
39.9  23  1 1 2
42.0  20  -1 2 2